Entry 1:
Starting from a cell relaxed with GGA-PBE, the XRD peak list of Pm8Tl3Ge2 was calculated for Cu Kα, 1.54184 Å.
Lines closer than 0.1° are merged.

Structure:
abc: 9.117 9.117 5.529
angles: 90.00 90.00 120.43
Positions (direct):
Pm 0.109 0.891 0.000
Pm 0.154 0.410 0.500
Pm 0.310 0.690 0.000
Pm 0.410 0.154 0.500
Pm 0.590 0.846 0.500
Pm 0.690 0.310 0.000
Pm 0.846 0.590 0.500
Pm 0.891 0.109 0.000
Tl 0.000 0.000 0.500
Tl 0.322 0.322 0.000
Tl 0.678 0.678 0.000
Ge 0.229 0.771 0.500
Ge 0.771 0.229 0.500

Most intense lines, 2θ = 10–90°, by intensity:
| 2θ (°) | I (rel.) |
| --- | --- |
| 34.16 | 1000 |
| 32.39 | 346 |
| 58.91 | 210 |
| 30.13 | 208 |
| 44.82 | 142 |
| 61.30 | 135 |

Entry 2:
Starting from a cell relaxed with GGA-PBE, the XRD peak list of PmPuSbBr was calculated for Cu Kα, 1.54184 Å.
Lines closer than 0.1° are merged.

Structure:
abc: 5.376 5.376 5.376
angles: 60.00 60.00 60.00
Positions (direct):
Pm 0.000 0.000 0.000
Pu 0.500 0.500 0.500
Sb 0.250 0.250 0.250
Br 0.750 0.750 0.750

Most intense lines, 2θ = 10–90°, by intensity:
| 2θ (°) | I (rel.) |
| --- | --- |
| 33.34 | 1000 |
| 59.58 | 380 |
| 47.86 | 182 |
| 79.79 | 166 |
| 70.01 | 118 |
| 23.40 | 108 |

Entry 3:
Starting from a cell relaxed with GGA-PBE, the XRD peak list of Tb3CeGa2 was calculated for Cu Kα, 1.54184 Å.
Lines closer than 0.1° are merged.

Structure:
abc: 8.540 8.540 3.540
angles: 90.02 90.02 144.39
Positions (direct):
Tb 0.000 0.000 0.000
Tb 0.320 0.680 0.000
Tb 0.680 0.320 0.000
Ce 0.500 0.500 0.500
Ga 0.153 0.847 0.500
Ga 0.847 0.153 0.500

Most intense lines, 2θ = 10–90°, by intensity:
| 2θ (°) | I (rel.) |
| --- | --- |
| 34.81 | 1000 |
| 34.35 | 269 |
| 33.05 | 255 |
| 61.81 | 188 |
| 48.41 | 175 |
| 60.17 | 148 |

Entry 4:
Starting from a cell relaxed with GGA-PBE, the XRD peak list of Ca2TlHg5 was calculated for Cu Kα, 1.54184 Å.
Lines closer than 0.1° are merged.

Structure:
abc: 6.646 6.646 6.646
angles: 118.81 118.81 92.07
Positions (direct):
Ca 0.000 0.500 0.500
Ca 0.500 0.000 0.500
Tl 0.011 0.011 0.000
Hg 0.487 0.487 0.000
Hg 0.507 0.507 0.514
Hg 0.507 0.993 0.000
Hg 0.993 0.507 0.000
Hg 0.993 0.993 0.486

Most intense lines, 2θ = 10–90°, by intensity:
| 2θ (°) | I (rel.) |
| --- | --- |
| 32.83 | 1000 |
| 37.61 | 349 |
| 64.87 | 281 |
| 55.33 | 224 |
| 39.05 | 154 |
| 66.83 | 124 |

Entry 5:
Starting from a cell relaxed with GGA-PBE, the XRD peak list of Ac2MgHg6Pb was calculated for Cu Kα, 1.54184 Å.
Lines closer than 0.1° are merged.

Structure:
abc: 13.633 13.633 13.633
angles: 30.76 30.76 30.76
Positions (direct):
Ac 0.108 0.108 0.108
Ac 0.283 0.283 0.283
Ac 0.717 0.717 0.717
Ac 0.892 0.892 0.892
Mg 0.000 0.000 0.000
Mg 0.500 0.500 0.500
Hg 0.070 0.668 0.668
Hg 0.219 0.219 0.658
Hg 0.219 0.658 0.219
Hg 0.332 0.332 0.930
Hg 0.332 0.930 0.332
Hg 0.342 0.781 0.781
Hg 0.658 0.219 0.219
Hg 0.668 0.070 0.668
Hg 0.668 0.668 0.070
Hg 0.781 0.342 0.781
Hg 0.781 0.781 0.342
Hg 0.930 0.332 0.332
Pb 0.425 0.425 0.425
Pb 0.575 0.575 0.575

Most intense lines, 2θ = 10–90°, by intensity:
| 2θ (°) | I (rel.) |
| --- | --- |
| 32.82 | 1000 |
| 30.77 | 700 |
| 28.93 | 446 |
| 50.48 | 381 |
| 28.25 | 374 |
| 38.33 | 348 |

Entry 6:
Starting from a cell relaxed with GGA-PBE, the XRD peak list of Dy5Sb2Te2 was calculated for Cu Kα, 1.54184 Å.
Lines closer than 0.1° are merged.

Structure:
abc: 8.687 8.687 8.077
angles: 90.00 90.00 55.26
Positions (direct):
Dy 0.000 0.000 0.000
Dy 0.023 0.707 0.658
Dy 0.207 0.523 0.158
Dy 0.293 0.977 0.658
Dy 0.477 0.793 0.158
Dy 0.500 0.500 0.500
Dy 0.523 0.207 0.842
Dy 0.707 0.023 0.342
Dy 0.793 0.477 0.842
Dy 0.977 0.293 0.342
Sb 0.144 0.856 0.357
Sb 0.356 0.644 0.857
Sb 0.644 0.356 0.143
Sb 0.856 0.144 0.643
Te 0.199 0.199 0.000
Te 0.301 0.301 0.500
Te 0.699 0.699 0.500
Te 0.801 0.801 0.000

Most intense lines, 2θ = 10–90°, by intensity:
| 2θ (°) | I (rel.) |
| --- | --- |
| 35.67 | 1000 |
| 30.27 | 748 |
| 34.08 | 678 |
| 64.85 | 342 |
| 32.15 | 335 |
| 33.07 | 273 |

Entry 7:
Starting from a cell relaxed with GGA-PBE, the XRD peak list of Li2Rh2F7 was calculated for Cu Kα, 1.54184 Å.
Lines closer than 0.1° are merged.

Structure:
abc: 5.616 5.616 5.293
angles: 92.71 92.71 127.96
Positions (direct):
Li 0.178 0.822 0.000
Li 0.822 0.178 0.000
Rh 0.387 0.387 0.695
Rh 0.613 0.613 0.305
F 0.000 0.000 0.500
F 0.155 0.537 0.751
F 0.248 0.248 0.090
F 0.463 0.845 0.249
F 0.537 0.155 0.751
F 0.752 0.752 0.910
F 0.845 0.463 0.249

Most intense lines, 2θ = 10–90°, by intensity:
| 2θ (°) | I (rel.) |
| --- | --- |
| 17.57 | 1000 |
| 20.15 | 787 |
| 38.09 | 539 |
| 27.63 | 457 |
| 35.58 | 307 |
| 42.35 | 247 |

Repeat the first record exactly.
Starting from a cell relaxed with GGA-PBE, the XRD peak list of Pm8Tl3Ge2 was calculated for Cu Kα, 1.54184 Å.
Lines closer than 0.1° are merged.

Structure:
abc: 9.117 9.117 5.529
angles: 90.00 90.00 120.43
Positions (direct):
Pm 0.109 0.891 0.000
Pm 0.154 0.410 0.500
Pm 0.310 0.690 0.000
Pm 0.410 0.154 0.500
Pm 0.590 0.846 0.500
Pm 0.690 0.310 0.000
Pm 0.846 0.590 0.500
Pm 0.891 0.109 0.000
Tl 0.000 0.000 0.500
Tl 0.322 0.322 0.000
Tl 0.678 0.678 0.000
Ge 0.229 0.771 0.500
Ge 0.771 0.229 0.500

Most intense lines, 2θ = 10–90°, by intensity:
| 2θ (°) | I (rel.) |
| --- | --- |
| 34.16 | 1000 |
| 32.39 | 346 |
| 58.91 | 210 |
| 30.13 | 208 |
| 44.82 | 142 |
| 61.30 | 135 |